# SrLi2SiO4
Simulated X-ray powder pattern, Cu Kα (λ = 1.5418 Å). Input: DFT lattice parameters and positions (GGA-PBE).
Neutral-atom scattering factors, no anomalous dispersion.

Main lines, most intense first (10° ≤ 2θ ≤ 80°):
3.605 Å, 24.7°, rel. 100
2.541 Å, 35.3°, rel. 41
4.154 Å, 21.4°, rel. 32
2.557 Å, 35.1°, rel. 31
1.948 Å, 46.6°, rel. 29
2.183 Å, 41.4°, rel. 28
3.035 Å, 29.4°, rel. 21
2.077 Å, 43.6°, rel. 15

Structure:
```
SrLi2SiO4
1.0
5.0815 0.0000 0.0000
-2.5408 4.4007 0.0000
0.0000 0.0000 12.5704
Sr Li Si O
3 6 3 12
Cartesian
-1.0655 1.8456 2.0951 Sr
2.1311 0.0000 10.4754 Sr
1.4752 2.5552 6.2852 Sr
-0.6661 1.8010 11.5787 Li
-0.6480 4.0772 7.3886 Li
1.8928 0.3236 0.9917 Li
1.3141 2.9234 3.1984 Li
1.8746 2.5998 9.3720 Li
3.8549 1.4774 5.1819 Li
-0.7021 1.2161 8.3803 Si
1.4042 0.0000 4.1901 Si
1.8387 3.1846 0.0000 Si
-1.0489 2.1307 7.0443 O
-1.5908 3.3542 12.5166 O
0.4313 1.3460 4.1364 O
0.9500 1.0465 8.4341 O
-0.1711 4.2438 2.8541 O
2.3697 0.1570 5.5262 O
1.2200 2.4270 11.2344 O
1.4919 2.2701 1.3360 O
1.1595 4.1013 8.3265 O
3.7003 0.2994 0.0538 O
2.9721 3.0548 4.2439 O
3.7608 1.9737 9.7163 O
```